# 1
This entry pairs a crystal structure of NaCaSnSbO6 with its simulated X-ray diffraction stick pattern. Radiation: Cu Ka. Structure: a crystal structure in the Materials Project, relaxed with PBE.

Atomic structure:
a = 8.027 Å, b = 8.027 Å, c = 8.027 Å
α = 90.00°, β = 90.00°, γ = 90.00°
Space group F-43m (No. 216)
Asymmetric unit:
Na 0.000 0.000 0.000 (multiplicity 4)
Ca 0.000 0.000 0.500 (multiplicity 4)
Sn 0.250 0.250 0.750 (multiplicity 4)
Sb 0.250 0.250 0.250 (multiplicity 4)
O 0.004 0.250 0.250 (multiplicity 24)

Top 6 peaks for 10° ≤ 2θ ≤ 90°, low angle first:
(2 0 0), 2θ 22.15, intensity 70; (2 2 0), 2θ 31.52, intensity 100; (4 0 0), 2θ 45.18, intensity 39; (4 2 0), 2θ 50.87, intensity 30; (4 2 2), 2θ 56.13, intensity 40; (4 4 0), 2θ 65.81, intensity 23

***

# 2
This entry pairs a crystal structure of NaCa2ScZn2Si6O18 with its simulated X-ray diffraction stick pattern. Radiation: Cu Ka. Structure: a crystal structure in the Materials Project, relaxed with PBE.

Atomic structure:
a = 9.962 Å, b = 27.247 Å, c = 5.347 Å
α = 90.00°, β = 106.24°, γ = 90.00°
Space group C2/c (No. 15)
Asymmetric unit:
Na 0.000 0.232 0.250 (multiplicity 4)
Ca 0.000 0.099 0.750 (multiplicity 4)
Ca 0.000 0.433 0.750 (multiplicity 4)
Sc 0.000 0.299 0.750 (multiplicity 4)
Zn 0.000 0.032 0.250 (multiplicity 4)
Zn 0.000 0.366 0.250 (multiplicity 4)
Si 0.211 0.136 0.263 (multiplicity 8)
Si 0.213 0.196 0.763 (multiplicity 8)
Si 0.214 0.469 0.270 (multiplicity 8)
O 0.117 0.030 0.644 (multiplicity 8)
O 0.117 0.305 0.143 (multiplicity 8)
O 0.118 0.362 0.651 (multiplicity 8)
O 0.137 0.418 0.176 (multiplicity 8)
O 0.139 0.084 0.178 (multiplicity 8)
O 0.140 0.249 0.688 (multiplicity 8)
O 0.150 0.170 0.991 (multiplicity 8)
O 0.151 0.494 0.503 (multiplicity 8)
O 0.152 0.161 0.498 (multiplicity 8)

Top 6 peaks for 10° ≤ 2θ ≤ 90°, low angle first:
(1 3 0), 2θ 13.44, intensity 29; (2 6 -1), 2θ 29.27, intensity 100; (3 3 0), 2θ 29.70, intensity 40; (1 9 -1), 2θ 34.33, intensity 31; (0 0 2), 2θ 34.96, intensity 41; (2 6 1), 2θ 35.09, intensity 43